# 1
For Ac2LaZn3, a DFT-relaxed cell (PBE, Alexandria) gives the computed PXRD pattern in this record (λ = 1.5418 Å (Cu Kα)).
Lines closer than 0.1° are merged.

Crystal structure
```
6
Lattice="3.865 0.000 0.000 0.000 3.865 0.000 0.000 0.000 11.570" Properties=species:S:1:pos:R:3 pbc="T T T"
Ac 0.000 0.000 1.989
Ac 0.000 0.000 9.582
La 0.000 0.000 5.785
Zn 1.932 1.932 0.000
Zn 1.932 1.932 4.014
Zn 1.932 1.932 7.556
```

Main lines, most intense first (10 to 80 degrees two-theta):
- 2θ = 32.8°, d 2.731, I 100
- 2θ = 58.5°, d 1.577, I 37
- 2θ = 23.0°, d 3.862, I 25
- 2θ = 47.0°, d 1.932, I 12
- 2θ = 53.0°, d 1.727, I 12
- 2θ = 68.7°, d 1.365, I 11
- 2θ = 78.2°, d 1.222, I 11
- 2θ = 40.5°, d 2.230, I 8

=====

# 2
For CaTeCl, a DFT-relaxed cell (PBE, Alexandria) gives the computed PXRD pattern in this record (λ = 1.5418 Å (Cu Kα)).
Lines closer than 0.1° are merged.

Crystal structure
```
12
Lattice="8.575 0.000 0.000 0.000 4.715 0.000 -0.363 0.000 9.733" Properties=species:S:1:pos:R:3 pbc="T T T"
Ca 1.232 0.000 2.917
Ca 2.693 2.357 6.816
Ca 5.519 2.357 2.917
Ca 6.980 0.000 6.816
Te -0.133 2.357 8.381
Te 4.057 0.000 1.352
Te 4.155 0.000 8.381
Te 8.345 2.357 1.352
Cl 1.204 0.000 5.822
Cl 2.721 2.357 3.911
Cl 5.491 2.357 5.822
Cl 7.008 0.000 3.911
```

Main lines, most intense first (10 to 80 degrees two-theta):
- 2θ = 23.5°, d 3.778, I 100
- 2θ = 36.8°, d 2.443, I 67
- 2θ = 35.5°, d 2.529, I 60
- 2θ = 21.5°, d 4.131, I 46
- 2θ = 38.2°, d 2.356, I 43
- 2θ = 34.0°, d 2.634, I 42
- 2θ = 23.2°, d 3.827, I 34
- 2θ = 23.0°, d 3.868, I 33

=====

# 3
For Na4InSn, a DFT-relaxed cell (PBE, Alexandria) gives the computed PXRD pattern in this record (λ = 1.5418 Å (Cu Kα)).
Lines closer than 0.1° are merged.

Crystal structure
```
12
Lattice="3.195 -9.390 0.000 3.195 9.390 0.000 0.000 0.000 5.419" Properties=species:S:1:pos:R:3 pbc="T T T"
Na 1.585 3.911 1.355
Na 1.571 0.783 1.355
Na 1.571 -0.783 4.065
Na 1.585 -3.911 4.065
Na 4.805 3.911 1.355
Na 4.819 0.783 1.355
Na 4.819 -0.783 4.065
Na 4.805 -3.911 4.065
In 3.195 2.306 4.065
In 3.195 -2.306 1.355
Sn 3.195 6.998 1.355
Sn 3.195 -6.998 4.065
```

Main lines, most intense first (10 to 80 degrees two-theta):
- 2θ = 33.9°, d 2.641, I 100
- 2θ = 18.9°, d 4.694, I 91
- 2θ = 33.1°, d 2.710, I 74
- 2θ = 59.6°, d 1.551, I 38
- 2θ = 48.1°, d 1.892, I 37
- 2θ = 68.1°, d 1.376, I 17
- 2θ = 79.5°, d 1.206, I 16
- 2θ = 38.4°, d 2.347, I 15

=====

What is the formula in the second record?
CaTeCl

=====

What did the first record say?
For Ac2LaZn3, a DFT-relaxed cell (PBE, Alexandria) gives the computed PXRD pattern in this record (λ = 1.5418 Å (Cu Kα)).
Lines closer than 0.1° are merged.

Crystal structure
```
6
Lattice="3.865 0.000 0.000 0.000 3.865 0.000 0.000 0.000 11.570" Properties=species:S:1:pos:R:3 pbc="T T T"
Ac 0.000 0.000 1.989
Ac 0.000 0.000 9.582
La 0.000 0.000 5.785
Zn 1.932 1.932 0.000
Zn 1.932 1.932 4.014
Zn 1.932 1.932 7.556
```

Main lines, most intense first (10 to 80 degrees two-theta):
- 2θ = 32.8°, d 2.731, I 100
- 2θ = 58.5°, d 1.577, I 37
- 2θ = 23.0°, d 3.862, I 25
- 2θ = 47.0°, d 1.932, I 12
- 2θ = 53.0°, d 1.727, I 12
- 2θ = 68.7°, d 1.365, I 11
- 2θ = 78.2°, d 1.222, I 11
- 2θ = 40.5°, d 2.230, I 8